Starting from a crystal structure in OQMD, relaxed with PBE, the powder diffraction line list of Dy3Y3Ho2 was simulated for λ = 1.5418 Å (Cu Kα).

Principal peaks in the range 2θ = 10–80°, in order of rising 2θ:
Position (°2θ)  I/Imax  (hkl)
15.7  44  0 0 1
28.4  262  2 0 0
31.8  236  0 0 2
32.7  1000  2 0 1
43.2  171  2 0 2
50.4  197  2 2 0
57.2  201  2 0 3
60.8  220  2 2 2
61.4  163  4 0 1
79.7  77  4 0 3

Structure:
```
data_Dy3Y3Ho2
_chemical_formula_sum 'Dy3 Y3 Ho2'
_space_group_name_H-M_alt 'P -6 m 2'
_space_group_IT_number 187
_space_group_name_Hall 'P -6 2'
_cell_length_a 7.2454
_cell_length_b 7.2454
_cell_length_c 5.6282
_cell_angle_alpha 90.00
_cell_angle_beta 90.00
_cell_angle_gamma 120.00
loop_
_atom_site_label
_atom_site_fract_x
_atom_site_fract_y
_atom_site_fract_z
Dy1 0.0013 0.5006 0.0000
Y1 0.3328 0.1664 0.5000
Ho1 0.0000 0.0000 0.0000
Ho2 0.3333 0.6667 0.5000
```

Starting from a crystal structure in OQMD, relaxed with PBE, the powder diffraction line list of DyY2Ho was simulated for λ = 1.5418 Å (Cu Kα).

Principal peaks in the range 2θ = 10–80°, in order of rising 2θ:
Position (°2θ)  I/Imax  (hkl)
14.1  62  0 1 1
28.4  240  0 4 0
31.8  239  2 0 0
32.6  1000  1 2 2
43.1  158  2 4 0
50.3  206  0 6 2
57.2  200  3 2 2
60.8  221  2 6 2
61.3  162  1 8 0
79.6  76  3 8 0

Structure:
```
data_DyY2Ho
_chemical_formula_sum 'Dy4 Y8 Ho4'
_space_group_name_H-M_alt 'A m a 2'
_space_group_IT_number 40
_cell_length_a 5.6327
_cell_length_b 12.5561
_cell_length_c 7.2541
_cell_angle_alpha 90.00
_cell_angle_beta 90.00
_cell_angle_gamma 90.00
loop_
_space_group_symop_operation_xyz
'x,y,z'
'-x,-y,z'
'-x+1/2,y,z'
'x+1/2,-y,z'
'x,y+1/2,z+1/2'
'-x,-y+1/2,z+1/2'
'-x+1/2,y+1/2,z+1/2'
'x+1/2,-y+1/2,z+1/2'
loop_
_atom_site_label
_atom_site_fract_x
_atom_site_fract_y
_atom_site_fract_z
Dy1 0.2500 0.0831 0.0000
Y1 0.2500 0.0837 0.4978
Y2 0.2500 0.3329 0.2499
Ho1 0.2500 0.3337 0.7481
```